Structure and theoretical powder XRD pattern of CsCr5Te8 (a structure optimized by DFT (GGA-PBE); a wavelength of 1.5418 Å).
Peak positions follow from Bragg's law for the DFT cell and can differ from measured ones.

Cell and atoms:
Unit cell a=20.552 b=4.043 c=9.689 alpha=90.00 beta=104.07 gamma=90.00
Space group C2/m (No. 12)
Unique sites:
Cs 0.000 0.000 0.000
Cr 0.000 0.500 0.500
Cr 0.160 0.000 0.488
Cr 0.204 0.000 0.831
Te 0.073 0.000 0.660
Te 0.091 0.500 0.335
Te 0.172 0.500 0.992
Te 0.239 0.500 0.658

Principal peaks in the range 5° ≤ 2θ ≤ 70°, most intense first:
28.64°, intensity 100; 30.11°, intensity 76; 45.63°, intensity 53; 28.89°, intensity 47; 41.29°, intensity 39; 28.49°, intensity 37; 30.64°, intensity 36; 44.84°, intensity 29; 36.19°, intensity 24; 49.60°, intensity 22


Structure and theoretical powder XRD pattern of Cr3Cu (a structure optimized by DFT (GGA-PBE); a wavelength of 1.5418 Å).
Peak positions follow from Bragg's law for the DFT cell and can differ from measured ones.

Cell and atoms:
Unit cell a=3.602 b=3.602 c=3.602 alpha=90.00 beta=90.00 gamma=90.00
Space group Pm-3m (No. 221)
Unique sites:
Cr 0.000 0.000 0.500
Cu 0.500 0.500 0.500

Principal peaks in the range 5° ≤ 2θ ≤ 70°, most intense first:
43.52°, intensity 100; 50.69°, intensity 46; 24.72°, intensity 1; 35.24°, intensity 1; 57.19°, intensity 1; 63.24°, intensity 1


Structure and theoretical powder XRD pattern of Cr8Fe2CuNiS16 (a structure optimized by DFT (GGA-PBE); a wavelength of 1.5418 Å).
Peak positions follow from Bragg's law for the DFT cell and can differ from measured ones.

Cell and atoms:
Unit cell a=6.8789 b=6.8789 c=33.7336 alpha=90.00 beta=90.00 gamma=120.00
Space group R3m (No. 160, hexagonal axes)
Unique sites:
Cr 0.0000 0.0000 0.0000
Cr 0.0000 0.0000 0.4991
Cr 0.0024 0.5012 0.2491
Cr 0.0030 0.5015 0.7484
Fe 0.0000 0.0000 0.3114
Fe 0.0000 0.0000 0.8115
Cu 0.0000 0.0000 0.1863
Ni 0.0000 0.0000 0.6865
S 0.0000 0.0000 0.1198
S 0.0000 0.0000 0.3755
S 0.0000 0.0000 0.6216
S 0.0000 0.0000 0.8755
S 0.0084 0.5042 0.1232
S 0.0085 0.5043 0.6236
S 0.1731 0.3463 0.7079
S 0.1772 0.3544 0.2087

Principal peaks in the range 5° ≤ 2θ ≤ 70°, most intense first:
30.47°, intensity 100; 53.25°, intensity 87; 36.95°, intensity 47; 48.62°, intensity 39; 25.90°, intensity 33; 45.67°, intensity 13; 62.59°, intensity 11; 66.58°, intensity 9; 15.77°, intensity 5; 60.14°, intensity 5


Structure and theoretical powder XRD pattern of Cr4FeCuSe8 (a structure optimized by DFT (GGA-PBE); a wavelength of 1.5418 Å).
Peak positions follow from Bragg's law for the DFT cell and can differ from measured ones.

Cell and atoms:
Unit cell a=10.484 b=10.484 c=10.484 alpha=90.00 beta=90.00 gamma=90.00
Space group F-43m (No. 216)
Unique sites:
Cr 0.123 0.123 0.377
Fe 0.000 0.000 0.000
Cu 0.250 0.250 0.750
Se 0.117 0.117 0.617
Se 0.132 0.132 0.132

Principal peaks in the range 5° ≤ 2θ ≤ 70°, most intense first:
49.16°, intensity 100; 34.21°, intensity 80; 29.51°, intensity 53; 28.23°, intensity 36; 44.92°, intensity 27; 58.39°, intensity 21; 61.25°, intensity 18; 24.01°, intensity 15; 14.63°, intensity 8; 68.78°, intensity 7


Structure and theoretical powder XRD pattern of Cr4GaCuS8 (a structure optimized by DFT (GGA-PBE); a wavelength of 1.5418 Å).
Peak positions follow from Bragg's law for the DFT cell and can differ from measured ones.

Cell and atoms:
Unit cell a=9.987 b=9.987 c=9.987 alpha=90.00 beta=90.00 gamma=90.00
Space group F-43m (No. 216)
Unique sites:
Cr 0.121 0.121 0.379
Ga 0.000 0.000 0.000
Cu 0.250 0.250 0.750
S 0.116 0.116 0.616
S 0.134 0.134 0.134

Principal peaks in the range 5° ≤ 2θ ≤ 70°, most intense first:
29.67°, intensity 100; 51.79°, intensity 85; 47.30°, intensity 48; 25.22°, intensity 40; 35.97°, intensity 39; 44.44°, intensity 16; 60.82°, intensity 11; 64.66°, intensity 7; 58.45°, intensity 6; 15.37°, intensity 5


Structure and theoretical powder XRD pattern of Cr8Ga3CuSe16 (a structure optimized by DFT (GGA-PBE); a wavelength of 1.5418 Å).
Peak positions follow from Bragg's law for the DFT cell and can differ from measured ones.

Cell and atoms:
Unit cell a=7.531 b=7.531 c=10.621 alpha=90.00 beta=90.00 gamma=90.00
Space group P-4m2 (No. 115)
Unique sites:
Cr 0.000 0.251 0.372
Cr 0.243 0.500 0.126
Ga 0.000 0.500 0.751
Ga 0.500 0.500 0.500
Cu 0.000 0.000 0.000
Se 0.000 0.227 0.614
Se 0.000 0.268 0.134
Se 0.227 0.500 0.365
Se 0.273 0.500 0.886

Principal peaks in the range 5° ≤ 2θ ≤ 70°, most intense first:
48.39°, intensity 100; 33.69°, intensity 75; 29.07°, intensity 51; 27.81°, intensity 38; 44.19°, intensity 25; 23.65°, intensity 19; 60.26°, intensity 15; 57.40°, intensity 12; 44.31°, intensity 12; 14.42°, intensity 9


Structure and theoretical powder XRD pattern of Cr4GaCuSe8 (a structure optimized by DFT (GGA-PBE); a wavelength of 1.5418 Å).
Peak positions follow from Bragg's law for the DFT cell and can differ from measured ones.

Cell and atoms:
Unit cell a=10.562 b=10.562 c=10.562 alpha=90.00 beta=90.00 gamma=90.00
Space group F-43m (No. 216)
Unique sites:
Cr 0.121 0.121 0.379
Ga 0.000 0.000 0.000
Cu 0.250 0.250 0.750
Se 0.117 0.117 0.617
Se 0.135 0.135 0.135

Principal peaks in the range 5° ≤ 2θ ≤ 70°, most intense first:
48.77°, intensity 100; 33.95°, intensity 75; 29.29°, intensity 52; 28.02°, intensity 38; 44.58°, intensity 33; 57.92°, intensity 20; 23.83°, intensity 18; 60.76°, intensity 16; 68.20°, intensity 8; 14.53°, intensity 8


Structure and theoretical powder XRD pattern of HfCrCuS4 (a structure optimized by DFT (GGA-PBE); a wavelength of 1.5418 Å).
Peak positions follow from Bragg's law for the DFT cell and can differ from measured ones.

Cell and atoms:
Unit cell a=6.456 b=7.392 c=12.550 alpha=81.34 beta=84.81 gamma=89.96
Space group P-1 (No. 2)
Unique sites:
Hf 0.138 0.201 0.198
Hf 0.242 0.377 0.501
Cr 0.365 0.541 0.801
Cr 0.366 0.060 0.795
Cu 0.125 0.699 0.200
Cu 0.258 0.873 0.497
S 0.101 0.145 0.393
S 0.103 0.652 0.388
S 0.191 0.280 0.865
S 0.204 0.785 0.871
S 0.318 0.479 0.126
S 0.322 0.955 0.131
S 0.398 0.094 0.613
S 0.401 0.599 0.612

Principal peaks in the range 5° ≤ 2θ ≤ 70°, most intense first:
21.58°, intensity 100; 7.15°, intensity 71; 29.38°, intensity 67; 48.98°, intensity 48; 27.92°, intensity 39; 42.35°, intensity 33; 29.48°, intensity 33; 33.99°, intensity 28; 33.77°, intensity 27; 34.07°, intensity 25